# 1
Computed X-ray diffraction stick pattern of LuScZnIn for copper Kα, from a crystal structure in Alexandria, relaxed with GGA-PBE.

Lattice parameters (Å, degrees): 7.066 7.066 7.066 90.00 90.00 90.00
Fractional coordinates of all 16 atoms:
Lu  0.000  0.000  0.000
Lu  0.000  0.500  0.500
Lu  0.500  0.000  0.500
Lu  0.500  0.500  0.000
Sc  0.000  0.000  0.500
Sc  0.000  0.500  0.000
Sc  0.500  0.000  0.000
Sc  0.500  0.500  0.500
Zn  0.250  0.250  0.750
Zn  0.250  0.750  0.250
Zn  0.750  0.250  0.250
Zn  0.750  0.750  0.750
In  0.250  0.250  0.250
In  0.250  0.750  0.750
In  0.750  0.250  0.750
In  0.750  0.750  0.250

Most intense lines, 2θ = 10–80°, low angle first:
- 2θ = 21.79°, I = 26
- 2θ = 25.21°, I = 1
- 2θ = 35.95°, I = 100
- 2θ = 42.43°, I = 14
- 2θ = 51.75°, I = 17
- 2θ = 56.79°, I = 6
- 2θ = 64.62°, I = 35
- 2θ = 69.07°, I = 5
- 2θ = 76.22°, I = 11

***

# 2
Computed X-ray diffraction stick pattern of LuInSn for copper Kα, from a crystal structure in Alexandria, relaxed with GGA-PBE.

Lattice parameters (Å, degrees): 3.733 3.733 11.138 90.00 90.00 90.00
Fractional coordinates of all 6 atoms:
Lu  0.000  0.000  0.000
Lu  0.500  0.500  0.500
In  0.000  0.000  0.672
In  0.500  0.500  0.172
Sn  0.000  0.000  0.329
Sn  0.500  0.500  0.829

Most intense lines, 2θ = 10–80°, low angle first:
- 2θ = 15.91°, I = 1
- 2θ = 25.16°, I = 3
- 2θ = 34.03°, I = 100
- 2θ = 47.47°, I = 1
- 2θ = 48.80°, I = 12
- 2θ = 49.08°, I = 6
- 2θ = 60.84°, I = 25
- 2θ = 61.03°, I = 12
- 2θ = 71.49°, I = 4
- 2θ = 71.71°, I = 8

***

# 3
Computed X-ray diffraction stick pattern of SrLuIn4 for copper Kα, from a crystal structure in Alexandria, relaxed with GGA-PBE.

Lattice parameters (Å, degrees): 6.128 6.128 6.128 60.00 60.00 60.00
Fractional coordinates of all 6 atoms:
Sr  0.000  0.000  0.000
Lu  0.750  0.750  0.750
In  0.375  0.375  0.375
In  0.375  0.375  0.874
In  0.375  0.874  0.375
In  0.874  0.375  0.375

Most intense lines, 2θ = 10–80°, low angle first:
- 2θ = 17.73°, I = 6
- 2θ = 29.15°, I = 29
- 2θ = 34.32°, I = 100
- 2θ = 35.90°, I = 37
- 2θ = 51.68°, I = 12
- 2θ = 55.07°, I = 34
- 2θ = 60.43°, I = 28
- 2θ = 68.48°, I = 5
- 2θ = 71.37°, I = 12
- 2θ = 72.33°, I = 14

***

# 4
Computed X-ray diffraction stick pattern of Mg2In for copper Kα, from a crystal structure in Alexandria, relaxed with GGA-PBE.

Lattice parameters (Å, degrees): 3.250 15.820 5.566 90.00 90.00 90.00
Fractional coordinates of all 12 atoms:
Mg  0.000  0.054  0.250
Mg  0.000  0.386  0.250
Mg  0.000  0.614  0.750
Mg  0.000  0.946  0.750
Mg  0.500  0.114  0.750
Mg  0.500  0.446  0.750
Mg  0.500  0.554  0.250
Mg  0.500  0.886  0.250
In  0.000  0.280  0.750
In  0.000  0.720  0.250
In  0.500  0.220  0.250
In  0.500  0.780  0.750

Most intense lines, 2θ = 10–80°, low angle first:
- 2θ = 11.19°, I = 100
- 2θ = 32.16°, I = 34
- 2θ = 32.38°, I = 57
- 2θ = 34.15°, I = 15
- 2θ = 36.26°, I = 71
- 2θ = 37.75°, I = 36
- 2θ = 46.27°, I = 14
- 2θ = 59.85°, I = 17
- 2θ = 60.04°, I = 15
- 2θ = 69.54°, I = 16

***

# 5
Computed X-ray diffraction stick pattern of Mg3In4 for copper Kα, from a crystal structure in Alexandria, relaxed with GGA-PBE.

Lattice parameters (Å, degrees): 7.736 7.736 7.736 109.47 109.47 109.47
Fractional coordinates of all 14 atoms:
Mg  0.125  0.875  0.250
Mg  0.250  0.125  0.875
Mg  0.375  0.625  0.750
Mg  0.625  0.750  0.375
Mg  0.750  0.375  0.625
Mg  0.875  0.250  0.125
In  0.000  0.165  0.500
In  0.000  0.665  0.500
In  0.165  0.500  0.000
In  0.335  0.335  0.335
In  0.500  0.000  0.165
In  0.500  0.000  0.665
In  0.665  0.500  0.000
In  0.835  0.835  0.835

Most intense lines, 2θ = 10–80°, low angle first:
- 2θ = 24.41°, I = 81
- 2θ = 31.68°, I = 93
- 2θ = 37.68°, I = 100
- 2θ = 50.02°, I = 40
- 2θ = 52.22°, I = 38
- 2θ = 64.28°, I = 28
- 2θ = 66.16°, I = 12
- 2θ = 68.02°, I = 17
- 2θ = 71.65°, I = 12
- 2θ = 75.22°, I = 15

***

# 6
Computed X-ray diffraction stick pattern of Mg3In4 for copper Kα, from a crystal structure in Alexandria, relaxed with GGA-PBE.

Lattice parameters (Å, degrees): 3.982 3.982 21.814 90.00 90.00 90.00
Fractional coordinates of all 14 atoms:
Mg  0.000  0.000  0.000
Mg  0.000  0.000  0.287
Mg  0.000  0.000  0.713
Mg  0.500  0.500  0.213
Mg  0.500  0.500  0.500
Mg  0.500  0.500  0.787
In  0.000  0.000  0.145
In  0.000  0.000  0.429
In  0.000  0.000  0.571
In  0.000  0.000  0.855
In  0.500  0.500  0.071
In  0.500  0.500  0.355
In  0.500  0.500  0.645
In  0.500  0.500  0.929

Most intense lines, 2θ = 10–80°, low angle first:
- 2θ = 16.25°, I = 24
- 2θ = 25.50°, I = 38
- 2θ = 31.78°, I = 74
- 2θ = 35.89°, I = 14
- 2θ = 36.62°, I = 100
- 2θ = 45.56°, I = 27
- 2θ = 59.81°, I = 46
- 2θ = 68.87°, I = 17
- 2θ = 77.84°, I = 13
- 2θ = 78.29°, I = 12

***

# 7
Computed X-ray diffraction stick pattern of MgIn4 for copper Kα, from a crystal structure in Alexandria, relaxed with GGA-PBE.

Lattice parameters (Å, degrees): 7.138 9.457 3.992 90.00 90.00 90.00
Fractional coordinates of all 10 atoms:
Mg  0.000  0.000  0.000
Mg  0.500  0.500  0.000
In  0.141  0.312  0.000
In  0.190  0.584  0.500
In  0.310  0.084  0.500
In  0.359  0.812  0.000
In  0.641  0.188  0.000
In  0.690  0.916  0.500
In  0.810  0.416  0.500
In  0.859  0.688  0.000

Most intense lines, 2θ = 10–80°, low angle first:
- 2θ = 15.55°, I = 30
- 2θ = 29.28°, I = 41
- 2θ = 31.91°, I = 100
- 2θ = 35.03°, I = 66
- 2θ = 38.09°, I = 20
- 2θ = 39.04°, I = 24
- 2θ = 40.18°, I = 36
- 2θ = 45.44°, I = 25
- 2θ = 62.25°, I = 19
- 2θ = 67.47°, I = 18

***

# 8
Computed X-ray diffraction stick pattern of Mg17In12 for copper Kα, from a crystal structure in Alexandria, relaxed with GGA-PBE.

Lattice parameters (Å, degrees): 9.649 9.649 9.649 109.47 109.47 109.47
Fractional coordinates of all 29 atoms:
Mg  0.000  0.000  0.000
Mg  0.000  0.000  0.335
Mg  0.000  0.312  0.594
Mg  0.000  0.335  0.000
Mg  0.000  0.594  0.312
Mg  0.282  0.688  0.688
Mg  0.312  0.000  0.594
Mg  0.312  0.594  0.000
Mg  0.335  0.000  0.000
Mg  0.406  0.406  0.718
Mg  0.406  0.718  0.406
Mg  0.594  0.000  0.312
Mg  0.594  0.312  0.000
Mg  0.665  0.665  0.665
Mg  0.688  0.282  0.688
Mg  0.688  0.688  0.282
Mg  0.718  0.406  0.406
In  0.000  0.616  0.805
In  0.000  0.805  0.616
In  0.189  0.384  0.384
In  0.195  0.195  0.811
In  0.195  0.811  0.195
In  0.384  0.189  0.384
In  0.384  0.384  0.189
In  0.616  0.000  0.805
In  0.616  0.805  0.000
In  0.805  0.000  0.616
In  0.805  0.616  0.000
In  0.811  0.195  0.195

Most intense lines, 2θ = 10–80°, low angle first:
- 2θ = 19.52°, I = 100
- 2θ = 27.74°, I = 20
- 2θ = 34.14°, I = 84
- 2θ = 37.87°, I = 82
- 2θ = 41.32°, I = 71
- 2θ = 58.58°, I = 33
- 2θ = 61.12°, I = 18
- 2θ = 62.37°, I = 16
- 2θ = 66.02°, I = 15
- 2θ = 79.83°, I = 20

***

# 9
Computed X-ray diffraction stick pattern of MgIn2 for copper Kα, from a crystal structure in Alexandria, relaxed with GGA-PBE.

Lattice parameters (Å, degrees): 3.330 3.330 15.711 90.00 90.00 120.00
Fractional coordinates of all 6 atoms:
Mg  0.000  0.000  0.158
Mg  0.000  0.000  0.842
In  0.000  0.000  0.500
In  0.333  0.667  0.000
In  0.333  0.667  0.320
In  0.333  0.667  0.680

Most intense lines, 2θ = 10–80°, low angle first:
- 2θ = 16.93°, I = 16
- 2θ = 31.01°, I = 33
- 2θ = 33.09°, I = 8
- 2θ = 34.25°, I = 21
- 2θ = 35.54°, I = 100
- 2θ = 46.87°, I = 17
- 2θ = 55.17°, I = 18
- 2θ = 62.16°, I = 14
- 2θ = 66.56°, I = 18
- 2θ = 67.36°, I = 15

***

# 10
Computed X-ray diffraction stick pattern of Mg5In3 for copper Kα, from a crystal structure in Alexandria, relaxed with GGA-PBE.

Lattice parameters (Å, degrees): 8.614 8.614 5.977 90.00 90.00 59.69
Fractional coordinates of all 16 atoms:
Mg  0.002  0.768  0.250
Mg  0.230  0.770  0.750
Mg  0.232  0.998  0.250
Mg  0.334  0.334  0.000
Mg  0.334  0.334  0.500
Mg  0.666  0.666  0.000
Mg  0.666  0.666  0.500
Mg  0.768  0.002  0.750
Mg  0.770  0.230  0.250
Mg  0.998  0.232  0.750
In  0.001  0.399  0.250
In  0.399  0.001  0.750
In  0.402  0.598  0.250
In  0.598  0.402  0.750
In  0.601  0.999  0.250
In  0.999  0.601  0.750

Most intense lines, 2θ = 10–80°, low angle first:
- 2θ = 11.88°, I = 31
- 2θ = 20.65°, I = 29
- 2θ = 23.93°, I = 19
- 2θ = 25.52°, I = 100
- 2θ = 29.90°, I = 39
- 2θ = 35.20°, I = 62
- 2θ = 35.33°, I = 30
- 2θ = 36.24°, I = 20
- 2θ = 36.62°, I = 47
- 2θ = 38.63°, I = 30

***

# 11
Computed X-ray diffraction stick pattern of Mg7In4 for copper Kα, from a crystal structure in Alexandria, relaxed with GGA-PBE.

Lattice parameters (Å, degrees): 9.574 9.574 3.331 90.00 90.00 120.00
Fractional coordinates of all 11 atoms:
Mg  0.000  0.000  0.000
Mg  0.183  0.367  0.500
Mg  0.183  0.817  0.500
Mg  0.522  0.044  0.000
Mg  0.522  0.478  0.000
Mg  0.633  0.817  0.500
Mg  0.956  0.478  0.000
In  0.333  0.667  0.000
In  0.338  0.169  0.500
In  0.831  0.169  0.500
In  0.831  0.662  0.500

Most intense lines, 2θ = 10–80°, low angle first:
- 2θ = 21.43°, I = 100
- 2θ = 28.88°, I = 27
- 2θ = 32.75°, I = 32
- 2θ = 34.54°, I = 34
- 2θ = 37.58°, I = 63
- 2θ = 39.48°, I = 39
- 2θ = 42.50°, I = 15
- 2θ = 43.67°, I = 17
- 2θ = 58.94°, I = 14
- 2θ = 68.65°, I = 20

***

# 12
Computed X-ray diffraction stick pattern of Mg7In3 for copper Kα, from a crystal structure in Alexandria, relaxed with GGA-PBE.

Lattice parameters (Å, degrees): 8.473 8.473 6.330 101.11 101.11 30.96
Fractional coordinates of all 10 atoms:
Mg  0.000  0.000  0.000
Mg  0.201  0.201  0.608
Mg  0.398  0.398  0.190
Mg  0.403  0.403  0.694
Mg  0.597  0.597  0.306
Mg  0.602  0.602  0.810
Mg  0.799  0.799  0.392
In  0.000  0.000  0.500
In  0.197  0.197  0.115
In  0.803  0.803  0.885

Most intense lines, 2θ = 10–80°, low angle first:
- 2θ = 19.79°, I = 52
- 2θ = 20.40°, I = 30
- 2θ = 27.92°, I = 45
- 2θ = 34.32°, I = 100
- 2θ = 34.59°, I = 96
- 2θ = 39.90°, I = 64
- 2θ = 40.20°, I = 32
- 2θ = 57.70°, I = 21
- 2θ = 57.90°, I = 21
- 2θ = 68.80°, I = 25

***

# 13
Computed X-ray diffraction stick pattern of Mg3In7 for copper Kα, from a crystal structure in Alexandria, relaxed with GGA-PBE.

Lattice parameters (Å, degrees): 8.833 8.833 6.338 99.50 99.50 30.77
Fractional coordinates of all 10 atoms:
Mg  0.000  0.000  0.000
Mg  0.198  0.198  0.607
Mg  0.802  0.802  0.393
In  0.000  0.000  0.500
In  0.205  0.205  0.115
In  0.394  0.394  0.691
In  0.403  0.403  0.193
In  0.597  0.597  0.807
In  0.606  0.606  0.309
In  0.795  0.795  0.885

Most intense lines, 2θ = 10–80°, low angle first:
- 2θ = 19.11°, I = 17
- 2θ = 27.25°, I = 15
- 2θ = 32.82°, I = 100
- 2θ = 34.16°, I = 90
- 2θ = 38.42°, I = 33
- 2θ = 38.79°, I = 31
- 2θ = 39.40°, I = 30
- 2θ = 55.74°, I = 22
- 2θ = 56.21°, I = 21
- 2θ = 68.86°, I = 21

***

# 14
Computed X-ray diffraction stick pattern of MgIn2 for copper Kα, from a crystal structure in Alexandria, relaxed with GGA-PBE.

Lattice parameters (Å, degrees): 3.342 17.400 5.151 90.00 90.00 90.00
Fractional coordinates of all 12 atoms:
Mg  0.000  0.109  0.250
Mg  0.000  0.891  0.750
Mg  0.500  0.391  0.750
Mg  0.500  0.609  0.250
In  0.000  0.223  0.750
In  0.000  0.444  0.250
In  0.000  0.556  0.750
In  0.000  0.777  0.250
In  0.500  0.056  0.750
In  0.500  0.277  0.250
In  0.500  0.723  0.750
In  0.500  0.944  0.250

Most intense lines, 2θ = 10–80°, low angle first:
- 2θ = 20.03°, I = 22
- 2θ = 20.42°, I = 10
- 2θ = 30.86°, I = 24
- 2θ = 34.84°, I = 24
- 2θ = 35.55°, I = 100
- 2θ = 47.22°, I = 15
- 2θ = 54.89°, I = 18
- 2θ = 62.93°, I = 18
- 2θ = 66.68°, I = 20
- 2θ = 67.16°, I = 9